Starting from DFT lattice parameters and positions (PBE), the powder diffraction line list of HoAgSn2 was simulated for Cu Kα, 1.54184 Å.
Neutral-atom scattering factors, no anomalous dispersion.

The 10 most intense peaks (10° ≤ 2θ ≤ 90°), by angle:
| 2theta | I/Imax | h k l |
| --- | --- | --- |
| 19.08 | 2 | 1 0 0 |
| 34.11 | 100 | 1 1 1 |
| 38.72 | 35 | 2 0 0 |
| 41.27 | 15 | 0 0 2 |
| 55.92 | 12 | 2 2 0 |
| 57.87 | 22 | 2 0 2 |
| 67.15 | 28 | 3 1 1 |
| 70.65 | 12 | 1 1 3 |
| 71.82 | 12 | 2 2 2 |
| 83.07 | 4 | 4 0 0 |

Structure:
a = 4.651 Å, b = 4.651 Å, c = 4.375 Å
α = 90.00°, β = 90.00°, γ = 90.00°
Fractional coordinates of all 4 atoms:
1 Ho 0.000 0.000 0.000
2 Ag 0.500 0.500 0.000
3 Sn 0.000 0.500 0.500
4 Sn 0.500 0.000 0.500